(1)
The following is a simulated powder XRD pattern of Li7Mn2Co3O12. It was derived from a crystal structure in the Materials Project, relaxed with PBE+U, using Cu Ka.
Kinematic intensities with the Lorentz-polarization factor, no thermal factor.

The 6 most intense peaks (2θ = 10–90°), most intense first:
2θ/deg	intensity
18.42	100
43.72	57
43.45	29
36.05	26
63.22	23
63.47	16

Structural model:
```
data_Li7Mn2Co3O12
_chemical_formula_sum 'Li7 Mn2 Co3 O12'
_cell_length_a 6.5600
_cell_length_b 6.5600
_cell_length_c 5.0851
_cell_angle_alpha 97.26
_cell_angle_beta 97.26
_cell_angle_gamma 83.68
_symmetry_space_group_name_H-M 'P 1'
_symmetry_Int_Tables_number 1
loop_
_symmetry_equiv_pos_as_xyz
'x,y,z'
loop_
_atom_site_label
_atom_site_fract_x
_atom_site_fract_y
_atom_site_fract_z
_atom_site_occupancy
Li1 0.0000 0.0000 0.0000 1
Li2 0.0843 0.4145 0.2416 1
Li3 0.2444 0.2444 0.7595 1
Li4 0.4145 0.0843 0.2416 1
Li5 0.5855 0.9157 0.7584 1
Li6 0.7556 0.7556 0.2405 1
Li7 0.9157 0.5855 0.7584 1
Mn1 0.1631 0.8369 0.5000 1
Mn2 0.8369 0.1631 0.5000 1
Co1 0.3267 0.6733 0.0000 1
Co2 0.5000 0.5000 0.5000 1
Co3 0.6733 0.3267 0.0000 1
O1 0.0599 0.7143 0.1461 1
O2 0.1127 0.1127 0.3945 1
O3 0.2135 0.5603 0.6213 1
O4 0.2857 0.9401 0.8539 1
O5 0.3870 0.3870 0.1261 1
O6 0.4397 0.7865 0.3787 1
O7 0.5603 0.2135 0.6213 1
O8 0.6130 0.6130 0.8739 1
O9 0.7143 0.0599 0.1461 1
O10 0.7865 0.4397 0.3787 1
O11 0.8873 0.8873 0.6055 1
O12 0.9401 0.2857 0.8539 1
```



(2)
The following is a simulated powder XRD pattern of Li7Mn2Co3O12. It was derived from a crystal structure in the Materials Project, relaxed with PBE+U, using Cu Ka.
Kinematic intensities with the Lorentz-polarization factor, no thermal factor.

The 6 most intense peaks (2θ = 10–90°), most intense first:
2θ/deg	intensity
18.49	100
42.28	30
44.43	26
44.64	26
35.13	14
63.02	14

Structural model:
```
data_Li7Mn2Co3O12
_chemical_formula_sum 'Li7 Mn2 Co3 O12'
_cell_length_a 5.1689
_cell_length_b 5.9127
_cell_length_c 7.6757
_cell_angle_alpha 77.10
_cell_angle_beta 75.62
_cell_angle_gamma 71.06
_symmetry_space_group_name_H-M 'P 1'
_symmetry_Int_Tables_number 1
loop_
_symmetry_equiv_pos_as_xyz
'x,y,z'
loop_
_atom_site_label
_atom_site_fract_x
_atom_site_fract_y
_atom_site_fract_z
_atom_site_occupancy
Li1 0.0000 0.0000 0.0000 1
Li2 0.0003 0.1765 0.3468 1
Li3 0.9995 0.5045 0.0039 1
Li4 0.0065 0.6670 0.3447 1
Li5 0.0058 0.8302 0.6695 1
Li6 0.0099 0.3444 0.6745 1
Li7 0.5016 0.5021 0.5075 1
Mn1 0.5002 0.0059 0.5072 1
Mn2 0.5088 0.3437 0.1739 1
Co1 0.4989 0.6608 0.8305 1
Co2 0.5030 0.1705 0.8383 1
Co3 0.5035 0.8381 0.1739 1
O1 0.2566 0.9948 0.7404 1
O2 0.2669 0.6532 0.0868 1
O3 0.2727 0.3228 0.4127 1
O4 0.2768 0.4840 0.7672 1
O5 0.2931 0.8510 0.4123 1
O6 0.3020 0.1701 0.0914 1
O7 0.7112 0.8485 0.9287 1
O8 0.7132 0.1524 0.5973 1
O9 0.7180 0.5114 0.2440 1
O10 0.7356 0.6876 0.5955 1
O11 0.7411 0.0276 0.2669 1
O12 0.7436 0.3387 0.9353 1
```



(3)
The following is a simulated powder XRD pattern of Li3Mn2Co2O8. It was derived from a crystal structure in the Materials Project, relaxed with PBE+U, using Cu Ka.
Kinematic intensities with the Lorentz-polarization factor, no thermal factor.

The 6 most intense peaks (2θ = 10–90°), most intense first:
2θ/deg	intensity
18.37	100
42.87	38
43.59	38
44.38	29
18.48	28
18.82	22

Structural model:
```
data_Li3Mn2Co2O8
_chemical_formula_sum 'Li3 Mn2 Co2 O8'
_cell_length_a 5.7948
_cell_length_b 5.8097
_cell_length_c 5.8543
_cell_angle_alpha 119.54
_cell_angle_beta 90.96
_cell_angle_gamma 118.07
_symmetry_space_group_name_H-M 'P 1'
_symmetry_Int_Tables_number 1
loop_
_symmetry_equiv_pos_as_xyz
'x,y,z'
loop_
_atom_site_label
_atom_site_fract_x
_atom_site_fract_y
_atom_site_fract_z
_atom_site_occupancy
Li1 0.0000 0.0000 0.0000 1
Li2 0.0000 0.0000 0.5000 1
Li3 0.5000 0.5000 0.0000 1
Mn1 0.0000 0.5000 0.5000 1
Mn2 0.5000 0.0000 0.5000 1
Co1 0.5000 0.0000 0.0000 1
Co2 0.5000 0.5000 0.5000 1
O1 0.2689 0.0587 0.7346 1
O2 0.2714 0.9567 0.2890 1
O3 0.2735 0.5275 0.7435 1
O4 0.2845 0.4853 0.2771 1
O5 0.7155 0.5147 0.7229 1
O6 0.7265 0.4725 0.2565 1
O7 0.7286 0.0433 0.7110 1
O8 0.7311 0.9413 0.2654 1
```



(4)
The following is a simulated powder XRD pattern of Li7Mn2Co3O12. It was derived from a crystal structure in the Materials Project, relaxed with PBE+U, using Cu Ka.
Kinematic intensities with the Lorentz-polarization factor, no thermal factor.

The 6 most intense peaks (2θ = 10–90°), most intense first:
2θ/deg	intensity
18.22	100
43.02	29
43.20	29
44.06	27
35.42	15
35.87	14

Structural model:
```
data_Li7Mn2Co3O12
_chemical_formula_sum 'Li7 Mn2 Co3 O12'
_cell_length_a 2.8902
_cell_length_b 5.1473
_cell_length_c 14.8865
_cell_angle_alpha 99.95
_cell_angle_beta 94.73
_cell_angle_gamma 90.85
_symmetry_space_group_name_H-M 'P 1'
_symmetry_Int_Tables_number 1
loop_
_symmetry_equiv_pos_as_xyz
'x,y,z'
loop_
_atom_site_label
_atom_site_fract_x
_atom_site_fract_y
_atom_site_fract_z
_atom_site_occupancy
Li1 0.0000 0.0000 0.0000 1
Li2 0.0667 0.7383 0.1593 1
Li3 0.2523 0.2530 0.5060 1
Li4 0.4219 0.7791 0.8448 1
Li5 0.5684 0.2159 0.1474 1
Li6 0.7520 0.7512 0.5088 1
Li7 0.9295 0.2638 0.8400 1
Mn1 0.5011 0.5025 0.0014 1
Mn2 0.6625 0.0004 0.3335 1
Co1 0.1643 0.4990 0.3332 1
Co2 0.3346 0.0060 0.6702 1
Co3 0.8330 0.5059 0.6697 1
O1 0.0341 0.3863 0.0762 1
O2 0.1315 0.1108 0.2603 1
O3 0.1940 0.8905 0.4082 1
O4 0.2769 0.6222 0.5897 1
O5 0.3904 0.3864 0.7432 1
O6 0.4635 0.1635 0.9240 1
O7 0.5369 0.8436 0.0785 1
O8 0.6289 0.6520 0.2621 1
O9 0.7019 0.3511 0.4087 1
O10 0.7804 0.1197 0.5910 1
O11 0.8922 0.8850 0.7454 1
O12 0.9703 0.6167 0.9279 1
```